The following is a theoretical powder X-ray diffraction pattern of Cs2TbMoO6. It was derived from a DFT-relaxed cell (GGA+U, Alexandria), using copper Kα.

Peak list (6 most intense, 2θ from 15° to 90°, low angle first)
2theta  d (Å)  I_rel  index
15.03  5.894  58  1 0 0
21.32  4.167  53  0 1 1
26.18  3.403  100  1 1 0
34.02  2.635  72  1 0 2
43.43  2.084  47  0 2 2
51.43  1.777  30  2 1 2

Crystal structure
a = 6.807 Å, b = 6.807 Å, c = 5.890 Å
α = 90.00°, β = 90.00°, γ = 120.00°
Element x y z (fractional)
Cs (0.333, 0.667, 0.371)
Cs (0.667, 0.333, 0.629)
Tb (0.000, 0.000, 0.000)
Mo (0.000, 0.000, 0.500)
O (0.130, 0.259, 0.707)
O (0.130, 0.870, 0.707)
O (0.259, 0.130, 0.293)
O (0.741, 0.870, 0.707)
O (0.870, 0.130, 0.293)
O (0.870, 0.741, 0.293)